No. 1
For YMg14Ti, a crystal structure in the Materials Project, relaxed with PBE gives the simulated powder XRD pattern in this record (CuKα).

Structure:
a b c (Å): 10.3302 6.4943 6.4943
angles (deg): 58.89 90.00 90.00
Element x y z (fractional)
1 Y 0.0000 0.0000 0.0000
2 Mg 0.0000 0.0058 0.4983
3 Mg 0.0000 0.4983 0.0058
4 Mg 0.2438 0.6630 0.6630
5 Mg 0.2518 0.1711 0.6598
6 Mg 0.2518 0.6598 0.1711
7 Mg 0.2543 0.1669 0.1669
8 Mg 0.5000 0.5001 0.5001
9 Mg 0.5000 0.5004 0.9983
10 Mg 0.5000 0.9983 0.5004
11 Mg 0.5000 0.9994 0.9994
12 Mg 0.7457 0.1669 0.1669
13 Mg 0.7482 0.1711 0.6598
14 Mg 0.7482 0.6598 0.1711
15 Mg 0.7562 0.6630 0.6630
16 Ti 0.0000 0.4974 0.4974

Top 12 peaks for 2θ = 10–90°, sorted by position:
2θ/deg, I/Imax
17.88, 13
31.64, 13
32.20, 27
34.74, 39
36.22, 53
36.71, 100
48.09, 17
56.71, 18
63.23, 10
63.56, 18
68.24, 20
70.10, 14

---

No. 2
For BaGdAuSe3, a crystal structure in the Materials Project, relaxed with PBE gives the simulated powder XRD pattern in this record (CuKα).

Structure:
a b c (Å): 7.4936 7.4936 10.8451
angles (deg): 90.00 90.00 146.81
Element x y z (fractional)
1 Ba 0.2478 0.7522 0.7500
2 Ba 0.7522 0.2478 0.2500
3 Gd 0.0000 0.0000 0.0000
4 Gd 0.0000 0.0000 0.5000
5 Au 0.4647 0.5353 0.2500
6 Au 0.5353 0.4647 0.7500
7 Se 0.0789 0.9211 0.2500
8 Se 0.3621 0.6379 0.0509
9 Se 0.3621 0.6379 0.4491
10 Se 0.6379 0.3621 0.5509
11 Se 0.6379 0.3621 0.9491
12 Se 0.9211 0.0789 0.7500

Top 12 peaks for 2θ = 10–90°, sorted by position:
2θ/deg, I/Imax
12.32, 65
27.26, 33
29.17, 98
32.56, 100
33.04, 63
37.60, 28
41.22, 21
41.35, 35
41.75, 16
42.23, 36
50.90, 32
54.63, 24

---

No. 3
For Ca2MgAg3, a crystal structure in the Materials Project, relaxed with PBE gives the simulated powder XRD pattern in this record (CuKα).

Structure:
a b c (Å): 6.0132 6.0132 9.0632
angles (deg): 90.00 90.00 120.00
Element x y z (fractional)
1 Ca 0.3333 0.6667 0.0593
2 Ca 0.3333 0.6667 0.4407
3 Ca 0.6667 0.3333 0.5593
4 Ca 0.6667 0.3333 0.9407
5 Mg 0.0000 0.0000 0.0000
6 Mg 0.0000 0.0000 0.5000
7 Ag 0.1689 0.3379 0.7500
8 Ag 0.1689 0.8311 0.7500
9 Ag 0.3379 0.1689 0.2500
10 Ag 0.6621 0.8311 0.7500
11 Ag 0.8311 0.1689 0.2500
12 Ag 0.8311 0.6621 0.2500

Top 12 peaks for 2θ = 10–90°, sorted by position:
2θ/deg, I/Imax
19.61, 51
34.32, 22
34.44, 14
35.87, 100
39.78, 12
39.93, 14
46.02, 19
55.74, 9
61.70, 13
62.43, 19
65.41, 8
75.97, 10

---

No. 4
For BaCaCeSnO6, a crystal structure in the Materials Project, relaxed with PBE gives the simulated powder XRD pattern in this record (CuKα).

Structure:
a b c (Å): 8.4781 8.4835 8.4948
angles (deg): 90.00 90.00 90.00
Element x y z (fractional)
1 Ba 0.0000 0.0000 0.0000
2 Ba 0.0000 0.0000 0.5000
3 Ba 0.0000 0.5000 0.0000
4 Ba 0.5000 0.5000 0.5000
5 Ca 0.0000 0.5000 0.5000
6 Ca 0.5000 0.0000 0.0000
7 Ca 0.5000 0.0000 0.5000
8 Ca 0.5000 0.5000 0.0000
9 Ce 0.2553 0.2507 0.2512
10 Ce 0.2553 0.7493 0.7488
11 Ce 0.7447 0.2507 0.7488
12 Ce 0.7447 0.7493 0.2512
13 Sn 0.2561 0.2507 0.7486
14 Sn 0.2561 0.7493 0.2514
15 Sn 0.7439 0.2507 0.2514
16 Sn 0.7439 0.7493 0.7486
17 O 0.0097 0.2724 0.7820
18 O 0.0097 0.7276 0.2180
19 O 0.2097 0.3042 0.5087
20 O 0.2097 0.6958 0.4913
21 O 0.2268 0.0067 0.7176
22 O 0.2268 0.9933 0.2824
23 O 0.2989 0.2065 0.9912
24 O 0.2989 0.7935 0.0088
25 O 0.3004 0.4904 0.7972
26 O 0.3004 0.5096 0.2028
27 O 0.4929 0.2105 0.6914
28 O 0.4929 0.7895 0.3086
29 O 0.5071 0.2105 0.3086
30 O 0.5071 0.7895 0.6914
31 O 0.6996 0.4904 0.2028
32 O 0.6996 0.5096 0.7972
33 O 0.7011 0.2065 0.0088
34 O 0.7011 0.7935 0.9912
35 O 0.7732 0.0067 0.2824
36 O 0.7732 0.9933 0.7176
37 O 0.7903 0.3042 0.4913
38 O 0.7903 0.6958 0.5087
39 O 0.9903 0.2724 0.2180
40 O 0.9903 0.7276 0.7820

Top 12 peaks for 2θ = 10–90°, sorted by position:
2θ/deg, I/Imax
14.77, 4
20.94, 9
29.78, 100
42.62, 29
47.94, 4
52.86, 46
61.85, 17
70.10, 9
70.19, 9
78.02, 5
85.66, 19
85.73, 4

---

No. 5
For CePmMg2, a crystal structure in the Materials Project, relaxed with PBE gives the simulated powder XRD pattern in this record (CuKα).

Structure:
a b c (Å): 7.7462 7.7462 7.7462
angles (deg): 90.00 90.00 90.00
Element x y z (fractional)
1 Ce 0.0000 0.0000 0.0000
2 Ce 0.0000 0.5000 0.5000
3 Ce 0.5000 0.0000 0.5000
4 Ce 0.5000 0.5000 0.0000
5 Pm 0.0000 0.0000 0.5000
6 Pm 0.0000 0.5000 0.0000
7 Pm 0.5000 0.0000 0.0000
8 Pm 0.5000 0.5000 0.5000
9 Mg 0.2500 0.2500 0.2500
10 Mg 0.2500 0.2500 0.7500
11 Mg 0.2500 0.7500 0.2500
12 Mg 0.2500 0.7500 0.7500
13 Mg 0.7500 0.2500 0.2500
14 Mg 0.7500 0.2500 0.7500
15 Mg 0.7500 0.7500 0.2500
16 Mg 0.7500 0.7500 0.7500

Top 11 peaks for 2θ = 10–90°, sorted by position:
2θ/deg, I/Imax
22.96, 59
32.70, 100
40.33, 18
46.92, 18
52.86, 25
58.36, 38
68.52, 12
73.33, 12
78.02, 16
82.62, 7
87.18, 4

---

No. 6
For UAs2, a crystal structure in the Materials Project, relaxed with PBE gives the simulated powder XRD pattern in this record (CuKα).

Structure:
a b c (Å): 7.1299 3.8821 9.3910
angles (deg): 90.00 90.00 90.00
Element x y z (fractional)
1 U 0.2068 0.2500 0.1482
2 U 0.2932 0.7500 0.6482
3 U 0.7068 0.2500 0.3518
4 U 0.7932 0.7500 0.8518
5 As 0.0938 0.2500 0.8301
6 As 0.1056 0.2500 0.4532
7 As 0.3944 0.7500 0.9532
8 As 0.4062 0.7500 0.3301
9 As 0.5938 0.2500 0.6699
10 As 0.6056 0.2500 0.0468
11 As 0.8944 0.7500 0.5468
12 As 0.9062 0.7500 0.1699

Top 12 peaks for 2θ = 10–90°, sorted by position:
2θ/deg, I/Imax
22.68, 52
24.82, 36
24.98, 21
27.84, 33
31.21, 29
34.15, 62
35.50, 50
39.06, 100
42.64, 31
46.80, 27
60.60, 26
73.58, 21

---

No. 7
For Eu3Tc, a crystal structure in the Materials Project, relaxed with PBE gives the simulated powder XRD pattern in this record (CuKα).

Structure:
a b c (Å): 7.6939 7.6939 7.6939
angles (deg): 90.00 90.00 90.00
Element x y z (fractional)
1 Eu 0.0000 0.0000 0.0000
2 Eu 0.0000 0.5000 0.5000
3 Eu 0.2500 0.2500 0.2500
4 Eu 0.2500 0.2500 0.7500
5 Eu 0.2500 0.7500 0.2500
6 Eu 0.2500 0.7500 0.7500
7 Eu 0.5000 0.0000 0.5000
8 Eu 0.5000 0.5000 0.0000
9 Eu 0.7500 0.2500 0.2500
10 Eu 0.7500 0.2500 0.7500
11 Eu 0.7500 0.7500 0.2500
12 Eu 0.7500 0.7500 0.7500
13 Tc 0.0000 0.0000 0.5000
14 Tc 0.0000 0.5000 0.0000
15 Tc 0.5000 0.0000 0.0000
16 Tc 0.5000 0.5000 0.5000

Top 9 peaks for 2θ = 10–90°, sorted by position:
2θ/deg, I/Imax
19.99, 2
23.12, 1
32.93, 100
38.82, 1
47.26, 18
58.80, 38
69.06, 12
78.65, 16
87.93, 4

---

No. 8
For Sr2MgReO6, a crystal structure in the Materials Project, relaxed with PBE gives the simulated powder XRD pattern in this record (CuKα).

Structure:
a b c (Å): 5.6516 5.6516 5.6516
angles (deg): 120.36 120.36 89.37
Element x y z (fractional)
1 Sr 0.2500 0.7500 0.5000
2 Sr 0.7500 0.2500 0.5000
3 Mg 0.0000 0.0000 0.0000
4 Re 0.5000 0.5000 0.0000
5 O 0.2262 0.2910 0.5171
6 O 0.2576 0.2576 0.0000
7 O 0.2910 0.7738 0.0648
8 O 0.7090 0.2262 0.9352
9 O 0.7424 0.7424 0.0000
10 O 0.7738 0.7090 0.4829

Top 12 peaks for 2θ = 10–90°, sorted by position:
2θ/deg, I/Imax
19.27, 72
31.67, 100
31.84, 52
37.18, 13
37.49, 26
45.13, 17
45.65, 32
49.74, 11
56.29, 21
56.62, 42
66.14, 20
75.63, 18